Structure and theoretical X-ray powder pattern of Ce4PrTm3S8 (the GGA-PBE geometry in Alexandria; copper Kα).
Neutral-atom scattering factors, no anomalous dispersion.

Top 10 peaks for 15° ≤ 2θ ≤ 90°, most intense first:
index, 2θ/deg, I (rel.)
0 2 4, 31.9, 100.0
2 0 2, 27.6, 58.0
2 0 8, 45.5, 36.3
2 2 0, 45.9, 35.6
0 0 6, 27.3, 20.0
2 2 6, 54.2, 19.2
4 0 4, 57.0, 18.5
2 2 12, 75.5, 15.9
2 4 4, 76.1, 15.7
4 2 8, 84.7, 12.1

Atomic structure:
a b c (Å): 7.9071 7.9071 19.6064
angles (deg): 90.00 90.00 120.00
Space group R-3m (No. 166, hexagonal axes)
Symmetry-distinct sites (fractional):
Ce 0.0000 0.0000 0.0000 (multiplicity 3)
Ce 0.0000 0.5000 0.0000 (multiplicity 9)
Pr 0.0000 0.0000 0.5000 (multiplicity 3)
Tm 0.0000 0.5000 0.5000 (multiplicity 9)
S 0.0000 0.0000 0.2441 (multiplicity 6)
S 0.0111 0.5056 0.7534 (multiplicity 18)